Ta2CoPb: theoretical XRD peak list (Cu Kα X-rays), based on DFT lattice parameters and positions (PBE).

Peak list (10 most intense, 10 to 80 degrees two-theta, by angle)
hkl 0 1 1, 30.69 deg, I = 24
hkl 1 0 -2, 35.05 deg, I = 50
hkl 0 0 3, 35.60 deg, I = 26
hkl 0 1 2, 37.10 deg, I = 100
hkl 1 0 2, 39.39 deg, I = 44
hkl 1 1 0, 40.58 deg, I = 91
hkl 1 1 -3, 52.63 deg, I = 15
hkl 1 1 3, 57.43 deg, I = 15
hkl 0 2 0, 58.48 deg, I = 17
hkl 1 2 2, 72.81 deg, I = 15

Crystal structure
Cell: 3.152 3.156 7.615 Å, 90.00 96.55 90.00°
Fractional coordinates of all 4 atoms:
Ta 0.000 0.000 0.000
Ta 0.423 0.500 0.754
Co 0.550 0.500 0.157
Pb 0.958 0.000 0.436